For RbH6N, a DFT-relaxed cell (PBE, Alexandria) gives the theoretical X-ray powder pattern in this record (a wavelength of 1.5418 Å).

Cell and atoms:
Unit cell a=4.1647 b=4.1647 c=4.1647 alpha=89.52 beta=89.52 gamma=89.52
Fractional coordinates of all 8 atoms:
Rb1 0.0000 0.0000 0.0000
H1 0.1108 0.5001 0.5001
H2 0.5001 0.1108 0.5001
H3 0.5001 0.5001 0.1108
H4 0.4999 0.4999 0.8892
H5 0.4999 0.8892 0.4999
H6 0.8892 0.4999 0.4999
N1 0.5000 0.5000 0.5000

Most intense lines, 15° ≤ 2θ ≤ 90°, by intensity:
2θ 21.34, rel. 100; 2θ 30.23, rel. 93; 2θ 30.48, rel. 91; 2θ 43.46, rel. 37; 2θ 37.51, rel. 33; 2θ 54.01, rel. 32; 2θ 48.73, rel. 26; 2θ 49.08, rel. 26

=====

For Sm2Dy6Er3Th, a DFT-relaxed cell (PBE, Alexandria) gives the theoretical X-ray powder pattern in this record (a wavelength of 1.5418 Å).

Cell and atoms:
Unit cell a=6.1556 b=6.1556 c=11.7653 alpha=95.00 beta=95.00 gamma=119.94
Fractional coordinates of all 12 atoms:
Sm1 0.1666 0.8334 0.0000
Sm2 0.8334 0.1666 0.0000
Dy1 0.0860 0.4159 0.7484
Dy2 0.2545 0.2545 0.2517
Dy3 0.4159 0.0860 0.7484
Dy4 0.5841 0.9140 0.2516
Dy5 0.7455 0.7455 0.7483
Dy6 0.9140 0.5841 0.2516
Er1 0.0000 0.0000 0.5000
Er2 0.3329 0.6671 0.5000
Er3 0.6671 0.3329 0.5000
Th1 0.5000 0.5000 0.0000

Most intense lines, 15° ≤ 2θ ≤ 90°, by intensity:
2θ 30.83, rel. 100; 2θ 35.75, rel. 51; 2θ 51.45, rel. 36; 2θ 61.16, rel. 25; 2θ 61.23, rel. 18; 2θ 64.19, rel. 9; 2θ 83.89, rel. 9; 2θ 86.66, rel. 8

=====

For Ac2ZnGe7, a DFT-relaxed cell (PBE, Alexandria) gives the theoretical X-ray powder pattern in this record (a wavelength of 1.5418 Å).

Cell and atoms:
Unit cell a=4.7285 b=4.7285 c=10.4244 alpha=90.00 beta=90.00 gamma=90.00
Fractional coordinates of all 10 atoms:
Ac1 0.0000 0.5000 0.2453
Ac2 0.5000 0.0000 0.7547
Zn1 0.5000 0.5000 0.0000
Ge1 0.0000 0.0000 0.0000
Ge2 0.0000 0.0000 0.5000
Ge3 0.0000 0.5000 0.6235
Ge4 0.0000 0.5000 0.8879
Ge5 0.5000 0.0000 0.1121
Ge6 0.5000 0.0000 0.3765
Ge7 0.5000 0.5000 0.5000

Most intense lines, 15° ≤ 2θ ≤ 90°, by intensity:
2θ 31.80, rel. 100; 2θ 31.96, rel. 90; 2θ 38.06, rel. 66; 2θ 50.53, rel. 50; 2θ 64.90, rel. 38; 2θ 20.63, rel. 31; 2θ 26.66, rel. 30; 2θ 47.67, rel. 23